# Ir5Rh3
Calculated X-ray diffraction stick pattern, CuKα. Input: a GGA-PBE-relaxed structure.
Intensities are scaled so that the largest is 100.

Cell and atoms:
Cell lengths 7.053, 7.053, 5.215 Å; angles 109.26, 109.26, 84.43 degrees
Fractional positions:
Ir 0.043 0.957 0.750
Ir 0.167 0.583 0.504
Ir 0.208 0.291 0.745
Ir 0.291 0.208 0.245
Ir 0.417 0.833 0.996
Ir 0.583 0.167 0.004
Ir 0.709 0.792 0.755
Ir 0.792 0.709 0.255
Ir 0.833 0.417 0.496
Ir 0.957 0.043 0.250
Rh 0.082 0.666 0.998
Rh 0.334 0.918 0.502
Rh 0.458 0.542 0.250
Rh 0.542 0.458 0.750
Rh 0.666 0.082 0.498
Rh 0.918 0.334 0.002

The 12 most intense peaks (2θ = 15–90°), by angle:
2theta	d (Å)	I_rel
37.8	2.377	24
38.0	2.370	13
40.7	2.218	40
43.2	2.095	100
43.3	2.090	50
56.8	1.622	15
68.3	1.374	9
68.5	1.370	17
75.7	1.257	10
75.8	1.255	19
82.8	1.165	21
84.4	1.148	15

# Ir5Rh4
Calculated X-ray diffraction stick pattern, CuKα. Input: a GGA-PBE-relaxed structure.
Intensities are scaled so that the largest is 100.

Cell and atoms:
Cell lengths 6.098, 6.098, 6.098 Å; angles 95.76, 95.76, 143.06 degrees
Fractional positions:
Ir 0.000 0.000 0.000
Ir 0.334 0.334 0.667
Ir 0.334 0.666 0.000
Ir 0.666 0.334 0.000
Ir 0.666 0.666 0.333
Rh 0.000 0.330 0.330
Rh 0.000 0.670 0.670
Rh 0.330 0.000 0.330
Rh 0.670 0.000 0.670

The 12 most intense peaks (2θ = 15–90°), by angle:
2theta	d (Å)	I_rel
15.3	5.784	8
25.5	3.493	1
30.9	2.892	1
33.7	2.656	5
40.5	2.228	100
47.1	1.929	49
49.8	1.831	2
51.8	1.765	2
68.8	1.364	31
82.9	1.164	13
83.1	1.163	25
87.6	1.114	11

# IrRh
Calculated X-ray diffraction stick pattern, CuKα. Input: a GGA-PBE-relaxed structure.
Intensities are scaled so that the largest is 100.

Cell and atoms:
Cell lengths 2.734, 2.734, 8.909 Å; angles 90.00, 90.00, 120.00 degrees
Fractional positions:
Ir 0.333 0.667 0.375
Ir 0.667 0.333 0.625
Rh 0.333 0.667 0.875
Rh 0.667 0.333 0.125

The 12 most intense peaks (2θ = 15–90°), by angle:
2theta	d (Å)	I_rel
38.0	2.368	24
39.4	2.288	7
40.5	2.227	27
43.3	2.091	100
49.2	1.851	4
56.7	1.622	15
68.7	1.367	17
75.6	1.258	19
81.3	1.184	3
82.9	1.165	20
84.7	1.144	15
87.6	1.114	3